For Sm2Mn3Cu9P7, DFT lattice parameters and positions (PBE) gives the calculated powder diffractogram in this record (a wavelength of 1.5418 Å).
Lines closer than 0.1° are merged.

Crystal structure
a b c (Å): 9.314 3.752 9.377
angles (deg): 90.00 119.13 90.00
Space group Pm (No. 6)
One atom of each set of equivalent atoms:
1 Sm 0.000 0.000 0.000 (multiplicity 1)
2 Sm 0.329 0.500 0.662 (multiplicity 1)
3 Mn 0.450 0.000 0.200 (multiplicity 1)
4 Mn 0.751 0.000 0.537 (multiplicity 1)
5 Mn 0.786 0.000 0.243 (multiplicity 1)
6 Cu 0.046 0.500 0.281 (multiplicity 1)
7 Cu 0.094 0.000 0.715 (multiplicity 1)
8 Cu 0.235 0.500 0.949 (multiplicity 1)
9 Cu 0.279 0.000 0.371 (multiplicity 1)
10 Cu 0.505 0.500 0.446 (multiplicity 1)
11 Cu 0.543 0.500 0.047 (multiplicity 1)
12 Cu 0.624 0.000 0.903 (multiplicity 1)
13 Cu 0.713 0.500 0.761 (multiplicity 1)
14 Cu 0.939 0.500 0.487 (multiplicity 1)
15 P 0.066 0.000 0.442 (multiplicity 1)
16 P 0.264 0.500 0.205 (multiplicity 1)
17 P 0.375 0.000 0.925 (multiplicity 1)
18 P 0.545 0.000 0.621 (multiplicity 1)
19 P 0.661 0.500 0.319 (multiplicity 1)
20 P 0.791 0.500 0.055 (multiplicity 1)
21 P 0.951 0.500 0.740 (multiplicity 1)

Principal peaks in the range 10 to 90 degrees two-theta, in order of rising 2θ:
| 2θ (°) | I/Imax | (hkl) |
| --- | --- | --- |
| 26.16 | 315 | 0 1 1 |
| 37.68 | 1000 | 2 1 1 |
| 37.79 | 865 | 1 1 -3 |
| 37.98 | 436 | 2 0 2 |
| 38.07 | 871 | 3 1 -2 |
| 48.53 | 567 | 0 2 0 |


For Tb2Mn3Cu9P7, DFT lattice parameters and positions (PBE) gives the calculated powder diffractogram in this record (a wavelength of 1.5418 Å).
Lines closer than 0.1° are merged.

Crystal structure
a b c (Å): 9.433 3.752 9.435
angles (deg): 90.00 119.60 90.00
Space group Pm (No. 6)
One atom of each set of equivalent atoms:
1 Tb 0.000 0.000 0.000 (multiplicity 1)
2 Tb 0.331 0.500 0.660 (multiplicity 1)
3 Mn 0.538 0.500 0.411 (multiplicity 1)
4 Mn 0.579 0.500 0.118 (multiplicity 1)
5 Mn 0.884 0.500 0.467 (multiplicity 1)
6 Cu 0.049 0.500 0.288 (multiplicity 1)
7 Cu 0.099 0.000 0.714 (multiplicity 1)
8 Cu 0.240 0.500 0.944 (multiplicity 1)
9 Cu 0.281 0.000 0.377 (multiplicity 1)
10 Cu 0.385 0.000 0.165 (multiplicity 1)
11 Cu 0.618 0.000 0.896 (multiplicity 1)
12 Cu 0.703 0.500 0.754 (multiplicity 1)
13 Cu 0.786 0.000 0.616 (multiplicity 1)
14 Cu 0.824 0.000 0.215 (multiplicity 1)
15 P 0.075 0.000 0.457 (multiplicity 1)
16 P 0.253 0.500 0.209 (multiplicity 1)
17 P 0.383 0.000 0.916 (multiplicity 1)
18 P 0.536 0.000 0.608 (multiplicity 1)
19 P 0.665 0.000 0.335 (multiplicity 1)
20 P 0.786 0.500 0.038 (multiplicity 1)
21 P 0.960 0.500 0.749 (multiplicity 1)

Principal peaks in the range 10 to 90 degrees two-theta, in order of rising 2θ:
| 2θ (°) | I/Imax | (hkl) |
| --- | --- | --- |
| 26.12 | 179 | 0 1 1 |
| 32.75 | 117 | 3 0 0 |
| 37.64 | 1000 | 1 1 -3 |
| 37.75 | 609 | 3 1 -2 |
| 48.53 | 324 | 0 2 0 |
| 83.32 | 117 | 1 3 -3 |


For MnCuPd2, DFT lattice parameters and positions (PBE) gives the calculated powder diffractogram in this record (a wavelength of 1.5418 Å).
Lines closer than 0.1° are merged.

Crystal structure
a b c (Å): 6.125 6.125 6.125
angles (deg): 90.00 90.00 90.00
Space group Fm-3m (No. 225)
One atom of each set of equivalent atoms:
1 Mn 0.000 0.000 0.000 (multiplicity 4)
2 Cu 0.000 0.000 0.500 (multiplicity 4)
3 Pd 0.250 0.250 0.250 (multiplicity 8)

Principal peaks in the range 10 to 90 degrees two-theta, in order of rising 2θ:
| 2θ (°) | I/Imax | (hkl) |
| --- | --- | --- |
| 29.16 | 94 | 2 0 0 |
| 41.71 | 1000 | 2 2 0 |
| 51.70 | 27 | 2 2 2 |
| 60.46 | 159 | 4 0 0 |
| 68.51 | 37 | 4 2 0 |
| 76.14 | 313 | 4 2 2 |


For PrMnCu10, DFT lattice parameters and positions (PBE) gives the calculated powder diffractogram in this record (a wavelength of 1.5418 Å).
Lines closer than 0.1° are merged.

Crystal structure
a b c (Å): 11.653 11.675 4.922
angles (deg): 90.00 90.00 90.00
Space group Cmmm (No. 65)
One atom of each set of equivalent atoms:
1 Pr 0.250 0.250 0.000 (multiplicity 4)
2 Mn 0.117 0.000 0.000 (multiplicity 4)
3 Cu 0.000 0.000 0.500 (multiplicity 2)
4 Cu 0.000 0.179 0.241 (multiplicity 8)
5 Cu 0.000 0.386 0.000 (multiplicity 4)
6 Cu 0.000 0.500 0.500 (multiplicity 2)
7 Cu 0.112 0.324 0.500 (multiplicity 8)
8 Cu 0.177 0.112 0.500 (multiplicity 8)
9 Cu 0.178 0.500 0.240 (multiplicity 8)

Principal peaks in the range 10 to 90 degrees two-theta, in order of rising 2θ:
| 2θ (°) | I/Imax | (hkl) |
| --- | --- | --- |
| 35.79 | 333 | 4 0 1 |
| 39.09 | 1000 | 2 4 1 |
| 42.79 | 443 | 2 2 2 |
| 43.63 | 351 | 1 5 1 |
| 44.24 | 704 | 3 1 2 |
| 45.33 | 529 | 3 5 0 |


For MnCuPt6, DFT lattice parameters and positions (PBE) gives the calculated powder diffractogram in this record (a wavelength of 1.5418 Å).
Lines closer than 0.1° are merged.

Crystal structure
a b c (Å): 7.838 7.838 7.838
angles (deg): 90.00 90.00 90.00
Space group Fm-3m (No. 225)
One atom of each set of equivalent atoms:
1 Mn 0.000 0.000 0.000 (multiplicity 4)
2 Cu 0.000 0.000 0.500 (multiplicity 4)
3 Pt 0.000 0.250 0.250 (multiplicity 24)

Principal peaks in the range 10 to 90 degrees two-theta, in order of rising 2θ:
| 2θ (°) | I/Imax | (hkl) |
| --- | --- | --- |
| 22.69 | 127 | 2 0 0 |
| 39.84 | 1000 | 2 2 2 |
| 46.34 | 489 | 4 0 0 |
| 67.62 | 318 | 4 4 0 |
| 81.45 | 383 | 6 2 2 |
| 85.92 | 114 | 4 4 4 |


For MnCuPt2, DFT lattice parameters and positions (PBE) gives the calculated powder diffractogram in this record (a wavelength of 1.5418 Å).
Lines closer than 0.1° are merged.

Crystal structure
a b c (Å): 6.038 6.038 6.038
angles (deg): 90.00 90.00 90.00
Space group Fm-3m (No. 225)
One atom of each set of equivalent atoms:
1 Mn 0.000 0.000 0.000 (multiplicity 4)
2 Cu 0.000 0.000 0.500 (multiplicity 4)
3 Pt 0.250 0.250 0.250 (multiplicity 8)

Principal peaks in the range 10 to 90 degrees two-theta, in order of rising 2θ:
| 2θ (°) | I/Imax | (hkl) |
| --- | --- | --- |
| 29.59 | 332 | 2 0 0 |
| 42.34 | 1000 | 2 2 0 |
| 52.50 | 97 | 2 2 2 |
| 61.42 | 165 | 4 0 0 |
| 69.64 | 131 | 4 2 0 |
| 77.43 | 334 | 4 2 2 |